# 1
For ThSc4, a GGA-PBE-relaxed structure gives the calculated powder diffraction line list in this record (copper Kα).

Cell and atoms:
Cell: 5.734 5.734 5.734 Å, 100.01 100.01 130.72°
Element x y z (fractional)
Th1 0.000 0.000 0.000
Sc1 0.203 0.599 0.802
Sc2 0.401 0.203 0.604
Sc3 0.599 0.797 0.396
Sc4 0.797 0.401 0.198

The 10 most intense peaks (5 to 70 degrees two-theta), low angle first:
Position (°2θ)	intensity
17.01	39
22.16	41
24.15	17
33.01	100
37.63	14
38.63	32
48.43	12
55.02	22
65.00	14
66.36	23

***

# 2
For Ba3Bi3Pb, a GGA-PBE-relaxed structure gives the calculated powder diffraction line list in this record (copper Kα).

Cell and atoms:
Cell: 11.788 11.788 14.794 Å, 90.00 90.00 37.80°
Element x y z (fractional)
Ba1 0.022 0.629 0.128
Ba2 0.129 0.522 0.628
Ba3 0.194 0.806 0.861
Ba4 0.306 0.694 0.361
Ba5 0.371 0.978 0.128
Ba6 0.478 0.871 0.628
Ba7 0.522 0.129 0.372
Ba8 0.629 0.022 0.872
Ba9 0.694 0.306 0.639
Ba10 0.806 0.194 0.139
Ba11 0.871 0.478 0.372
Ba12 0.978 0.371 0.872
Bi1 0.059 0.611 0.371
Bi2 0.111 0.559 0.871
Bi3 0.229 0.771 0.621
Bi4 0.271 0.729 0.121
Bi5 0.389 0.941 0.371
Bi6 0.441 0.889 0.871
Bi7 0.559 0.111 0.129
Bi8 0.611 0.059 0.629
Bi9 0.729 0.271 0.879
Bi10 0.771 0.229 0.379
Bi11 0.889 0.441 0.129
Bi12 0.941 0.389 0.629
Pb1 0.087 0.087 0.500
Pb2 0.413 0.413 0.000
Pb3 0.587 0.587 0.000
Pb4 0.913 0.913 0.500

The 10 most intense peaks (5 to 70 degrees two-theta), low angle first:
Position (°2θ)	intensity
13.64	31
23.29	44
23.92	71
24.06	56
33.65	86
33.74	89
34.20	100
41.79	36
60.82	30
61.00	30

***

What is the formula in the second record?
Ba3Bi3Pb